1.
Calculated powder XRD pattern of Co2Re11 for Cu Kα (weighted mean of Kα1 and Kα2), from the GGA-PBE geometry in OQMD.

Atomic structure:
Cell lengths 9.295, 9.295, 9.295 Å; angles 31.55, 31.55, 31.55 degrees
Atoms (fractional coordinates):
Co1 0.165 0.165 0.165
Co2 0.835 0.835 0.835
Re1 0.000 0.000 0.000
Re2 0.088 0.088 0.582
Re3 0.088 0.582 0.088
Re4 0.346 0.346 0.346
Re5 0.418 0.912 0.912
Re6 0.454 0.454 0.454
Re7 0.546 0.546 0.546
Re8 0.582 0.088 0.088
Re9 0.654 0.654 0.654
Re10 0.912 0.418 0.912
Re11 0.912 0.912 0.418

Largest 8 diffraction maxima, low angle first, 5° ≤ 2θ ≤ 70°:
| 2θ (°) | intensity |
| --- | --- |
| 35.53 | 39.3 |
| 39.79 | 46.1 |
| 41.17 | 100.0 |
| 41.40 | 89.6 |
| 41.84 | 37.0 |
| 42.88 | 58.8 |
| 44.82 | 59.7 |
| 47.43 | 38.7 |

---

2.
Calculated powder XRD pattern of CoRe5 for Cu Kα (weighted mean of Kα1 and Kα2), from the GGA-PBE geometry in OQMD.

Atomic structure:
Cell lengths 5.024, 5.024, 15.882 Å; angles 90.00, 90.00, 120.00 degrees
Atoms (fractional coordinates):
Co1 0.333 0.667 0.127
Co2 0.333 0.667 0.373
Co3 0.667 0.333 0.627
Co4 0.667 0.333 0.873
Re1 0.000 0.000 0.092
Re2 0.000 0.000 0.408
Re3 0.000 0.000 0.592
Re4 0.000 0.000 0.908
Re5 0.000 0.500 0.000
Re6 0.000 0.500 0.500
Re7 0.162 0.325 0.250
Re8 0.162 0.838 0.250
Re9 0.325 0.162 0.750
Re10 0.333 0.667 0.656
Re11 0.333 0.667 0.844
Re12 0.500 0.000 0.000
Re13 0.500 0.000 0.500
Re14 0.500 0.500 0.000
Re15 0.500 0.500 0.500
Re16 0.667 0.333 0.156
Re17 0.667 0.333 0.344
Re18 0.675 0.838 0.250
Re19 0.838 0.162 0.750
Re20 0.838 0.675 0.750

Largest 8 diffraction maxima, low angle first, 5° ≤ 2θ ≤ 70°:
| 2θ (°) | intensity |
| --- | --- |
| 34.98 | 23.4 |
| 39.87 | 75.6 |
| 41.92 | 43.6 |
| 42.59 | 92.9 |
| 43.12 | 100.0 |
| 45.06 | 31.9 |
| 67.00 | 29.2 |
| 68.94 | 22.4 |

---

3.
Calculated powder XRD pattern of Co14Re for Cu Kα (weighted mean of Kα1 and Kα2), from the GGA-PBE geometry in OQMD.

Atomic structure:
Cell lengths 8.637, 8.637, 4.503 Å; angles 90.00, 90.00, 90.00 degrees
Atoms (fractional coordinates):
Co1 0.039 0.368 0.000
Co2 0.068 0.268 0.500
Co3 0.101 0.101 0.000
Co4 0.132 0.539 0.500
Co5 0.184 0.816 0.248
Co6 0.184 0.816 0.752
Co7 0.232 0.568 0.000
Co8 0.268 0.068 0.500
Co9 0.316 0.316 0.252
Co10 0.316 0.316 0.748
Co11 0.368 0.039 0.000
Co12 0.399 0.601 0.500
Co13 0.432 0.768 0.000
Co14 0.461 0.868 0.500
Co15 0.539 0.132 0.500
Co16 0.568 0.232 0.000
Co17 0.601 0.399 0.500
Co18 0.632 0.961 0.000
Co19 0.684 0.684 0.252
Co20 0.684 0.684 0.748
Co21 0.732 0.932 0.500
Co22 0.768 0.432 0.000
Co23 0.816 0.184 0.248
Co24 0.816 0.184 0.752
Co25 0.868 0.461 0.500
Co26 0.899 0.899 0.000
Co27 0.932 0.732 0.500
Co28 0.961 0.632 0.000
Re1 0.000 0.000 0.500
Re2 0.500 0.500 0.000

Largest 8 diffraction maxima, low angle first, 5° ≤ 2θ ≤ 70°:
| 2θ (°) | intensity |
| --- | --- |
| 22.27 | 27.9 |
| 43.19 | 58.1 |
| 44.51 | 37.7 |
| 45.43 | 41.3 |
| 46.70 | 41.1 |
| 47.90 | 100.0 |
| 49.12 | 30.3 |
| 52.69 | 26.0 |

---

4.
Calculated powder XRD pattern of Co3Re10 for Cu Kα (weighted mean of Kα1 and Kα2), from the GGA-PBE geometry in OQMD.

Atomic structure:
Cell lengths 9.100, 9.100, 9.100 Å; angles 32.19, 32.19, 32.19 degrees
Atoms (fractional coordinates):
Co1 0.000 0.000 0.000
Co2 0.347 0.347 0.347
Co3 0.653 0.653 0.653
Re1 0.093 0.093 0.586
Re2 0.093 0.586 0.093
Re3 0.166 0.166 0.166
Re4 0.414 0.907 0.907
Re5 0.451 0.451 0.451
Re6 0.549 0.549 0.549
Re7 0.586 0.093 0.093
Re8 0.834 0.834 0.834
Re9 0.907 0.414 0.907
Re10 0.907 0.907 0.414

Largest 8 diffraction maxima, low angle first, 5° ≤ 2θ ≤ 70°:
| 2θ (°) | intensity |
| --- | --- |
| 20.60 | 34.5 |
| 37.13 | 23.4 |
| 40.53 | 39.5 |
| 41.48 | 100.0 |
| 41.93 | 30.1 |
| 43.73 | 59.1 |
| 45.05 | 52.4 |
| 48.40 | 30.1 |

---

5.
Calculated powder XRD pattern of Co7Re5 for Cu Kα (weighted mean of Kα1 and Kα2), from the GGA-PBE geometry in OQMD.

Atomic structure:
Cell lengths 4.931, 4.931, 15.011 Å; angles 90.00, 90.00, 120.00 degrees
Atoms (fractional coordinates):
Co1 0.155 0.310 0.250
Co2 0.155 0.845 0.250
Co3 0.310 0.155 0.750
Co4 0.333 0.667 0.137
Co5 0.333 0.667 0.363
Co6 0.333 0.667 0.660
Co7 0.333 0.667 0.840
Co8 0.667 0.333 0.160
Co9 0.667 0.333 0.340
Co10 0.667 0.333 0.637
Co11 0.667 0.333 0.863
Co12 0.690 0.845 0.250
Co13 0.845 0.155 0.750
Co14 0.845 0.690 0.750
Re1 0.000 0.000 0.092
Re2 0.000 0.000 0.408
Re3 0.000 0.000 0.592
Re4 0.000 0.000 0.908
Re5 0.000 0.500 0.000
Re6 0.000 0.500 0.500
Re7 0.500 0.000 0.000
Re8 0.500 0.000 0.500
Re9 0.500 0.500 0.000
Re10 0.500 0.500 0.500

Largest 8 diffraction maxima, low angle first, 5° ≤ 2θ ≤ 70°:
| 2θ (°) | intensity |
| --- | --- |
| 11.79 | 100.0 |
| 31.74 | 25.6 |
| 36.44 | 15.6 |
| 41.85 | 67.4 |
| 42.33 | 36.8 |
| 43.94 | 62.4 |
| 44.10 | 89.5 |
| 69.28 | 26.1 |

---

6.
Calculated powder XRD pattern of CoRe4 for Cu Kα (weighted mean of Kα1 and Kα2), from the GGA-PBE geometry in OQMD.

Atomic structure:
Cell lengths 9.381, 9.381, 4.895 Å; angles 90.00, 90.00, 90.00 degrees
Atoms (fractional coordinates):
Co1 0.000 0.000 0.000
Co2 0.088 0.088 0.500
Co3 0.412 0.588 0.000
Co4 0.500 0.500 0.500
Co5 0.588 0.412 0.000
Co6 0.912 0.912 0.500
Re1 0.036 0.364 0.500
Re2 0.066 0.255 0.000
Re3 0.136 0.536 0.000
Re4 0.178 0.822 0.252
Re5 0.178 0.822 0.748
Re6 0.245 0.566 0.500
Re7 0.255 0.066 0.000
Re8 0.322 0.322 0.248
Re9 0.322 0.322 0.752
Re10 0.364 0.036 0.500
Re11 0.434 0.755 0.500
Re12 0.464 0.864 0.000
Re13 0.536 0.136 0.000
Re14 0.566 0.245 0.500
Re15 0.636 0.964 0.500
Re16 0.678 0.678 0.248
Re17 0.678 0.678 0.752
Re18 0.745 0.934 0.000
Re19 0.755 0.434 0.500
Re20 0.822 0.178 0.252
Re21 0.822 0.178 0.748
Re22 0.864 0.464 0.000
Re23 0.934 0.745 0.000
Re24 0.964 0.636 0.500

Largest 8 diffraction maxima, low angle first, 5° ≤ 2θ ≤ 70°:
| 2θ (°) | intensity |
| --- | --- |
| 39.22 | 22.5 |
| 39.61 | 100.0 |
| 40.81 | 42.3 |
| 41.62 | 27.1 |
| 42.77 | 71.7 |
| 43.88 | 78.9 |
| 44.99 | 45.9 |
| 46.09 | 23.0 |

---

7.
Calculated powder XRD pattern of Co4Re9 for Cu Kα (weighted mean of Kα1 and Kα2), from the GGA-PBE geometry in OQMD.

Atomic structure:
Cell lengths 8.991, 8.991, 8.991 Å; angles 32.40, 32.40, 32.40 degrees
Atoms (fractional coordinates):
Co1 0.043 0.043 0.043
Co2 0.337 0.337 0.337
Co3 0.663 0.663 0.663
Co4 0.957 0.957 0.957
Re1 0.076 0.587 0.587
Re2 0.147 0.147 0.147
Re3 0.413 0.413 0.924
Re4 0.413 0.924 0.413
Re5 0.500 0.500 0.500
Re6 0.587 0.076 0.587
Re7 0.587 0.587 0.076
Re8 0.853 0.853 0.853
Re9 0.924 0.413 0.413

Largest 8 diffraction maxima, low angle first, 5° ≤ 2θ ≤ 70°:
| 2θ (°) | intensity |
| --- | --- |
| 10.39 | 31.0 |
| 20.87 | 18.8 |
| 41.77 | 100.0 |
| 42.20 | 15.6 |
| 42.48 | 19.5 |
| 44.24 | 24.7 |
| 45.37 | 39.4 |
| 48.79 | 17.4 |

---

8.
Calculated powder XRD pattern of Co25Re4 for Cu Kα (weighted mean of Kα1 and Kα2), from the GGA-PBE geometry in OQMD.

Atomic structure:
Cell lengths 7.471, 7.471, 7.471 Å; angles 109.47, 109.47, 109.47 degrees
Atoms (fractional coordinates):
Co1 0.000 0.000 0.000
Co2 0.000 0.190 0.373
Co3 0.000 0.373 0.190
Co4 0.000 0.399 0.679
Co5 0.000 0.679 0.399
Co6 0.183 0.810 0.810
Co7 0.190 0.000 0.373
Co8 0.190 0.373 0.000
Co9 0.281 0.601 0.601
Co10 0.321 0.321 0.719
Co11 0.321 0.719 0.321
Co12 0.373 0.000 0.190
Co13 0.373 0.190 0.000
Co14 0.399 0.000 0.679
Co15 0.399 0.679 0.000
Co16 0.601 0.281 0.601
Co17 0.601 0.601 0.281
Co18 0.627 0.627 0.817
Co19 0.627 0.817 0.627
Co20 0.679 0.000 0.399
Co21 0.679 0.399 0.000
Co22 0.719 0.321 0.321
Co23 0.810 0.183 0.810
Co24 0.810 0.810 0.183
Co25 0.817 0.627 0.627
Re1 0.000 0.000 0.641
Re2 0.000 0.641 0.000
Re3 0.359 0.359 0.359
Re4 0.641 0.000 0.000

Largest 8 diffraction maxima, low angle first, 5° ≤ 2θ ≤ 70°:
| 2θ (°) | intensity |
| --- | --- |
| 20.59 | 8.0 |
| 25.29 | 17.2 |
| 39.07 | 6.3 |
| 44.56 | 100.0 |
| 49.56 | 16.6 |
| 51.92 | 11.5 |
| 64.84 | 5.0 |
| 66.85 | 5.0 |